1.
Structure and simulated X-ray powder pattern of AcSnIrN (a GGA-PBE-relaxed structure; Cu Kα X-rays).
Neutral-atom scattering factors, no anomalous dispersion.

Largest 6 diffraction maxima, low angle first, 5° ≤ 2θ ≤ 70°:
d = 3.147 Å, 28.4 deg, intensity 1000
d = 2.867 Å, 31.2 deg, intensity 588
d = 2.531 Å, 35.5 deg, intensity 536
d = 2.130 Å, 42.4 deg, intensity 539
d = 1.845 Å, 49.4 deg, intensity 509
d = 1.764 Å, 51.8 deg, intensity 401

Cell and atoms:
```
8
Lattice="4.261 0.000 0.000 0.000 4.261 0.000 0.000 0.000 9.336" Properties=species:S:1:pos:R:3 pbc="T T T"
Ac 1.065 1.065 1.382
Ac 3.196 3.196 7.955
Sn 1.065 1.065 6.156
Sn 3.196 3.196 3.180
Ir 1.065 3.196 4.668
Ir 3.196 1.065 4.668
N 1.065 1.065 8.300
N 3.196 3.196 1.036
```



2.
Structure and simulated X-ray powder pattern of Li17Ge2 (a GGA-PBE-relaxed structure; Cu Kα X-rays).
Neutral-atom scattering factors, no anomalous dispersion.

Largest 6 diffraction maxima, low angle first, 5° ≤ 2θ ≤ 70°:
d = 5.450 Å, 16.3 deg, intensity 1000
d = 3.935 Å, 22.6 deg, intensity 602
d = 3.299 Å, 27.0 deg, intensity 399
d = 3.205 Å, 27.8 deg, intensity 379
d = 2.485 Å, 36.1 deg, intensity 375
d = 2.478 Å, 36.3 deg, intensity 425

Cell and atoms:
```
19
Lattice="3.935 2.272 6.052 -3.935 2.272 6.052 0.000 -4.544 6.052" Properties=species:S:1:pos:R:3 pbc="T T T"
Li -3.935 0.000 9.078
Li -1.239 -2.398 6.052
Li -1.967 1.136 3.026
Li -2.696 0.126 6.052
Li 0.000 0.000 1.694
Li -1.448 -0.836 7.964
Li 1.239 -2.398 6.052
Li -1.457 2.272 6.052
Li 0.000 -1.672 10.193
Li -1.448 0.836 10.193
Li 1.967 1.136 3.026
Li 1.448 -0.836 7.964
Li 0.000 1.672 7.964
Li 2.696 0.126 6.052
Li 1.457 2.272 6.052
Li 1.448 0.836 10.193
Li 0.000 0.000 16.463
Ge 0.000 0.000 5.318
Ge 0.000 0.000 12.839
```



3.
Structure and simulated X-ray powder pattern of Li4Ce3NpS8 (a GGA-PBE-relaxed structure; Cu Kα X-rays).
Neutral-atom scattering factors, no anomalous dispersion.

Largest 6 diffraction maxima, low angle first, 5° ≤ 2θ ≤ 70°:
d = 6.175 Å, 14.3 deg, intensity 987
d = 3.419 Å, 26.1 deg, intensity 778
d = 2.781 Å, 32.2 deg, intensity 1000
d = 2.536 Å, 35.4 deg, intensity 381
d = 2.008 Å, 45.1 deg, intensity 380
d = 1.928 Å, 47.1 deg, intensity 333

Cell and atoms:
```
16
Lattice="4.017 2.319 6.175 -4.017 2.319 6.175 0.000 -4.638 6.175" Properties=species:S:1:pos:R:3 pbc="T T T"
Li 0.000 0.000 0.000
Li -2.008 -1.160 6.175
Li -2.008 1.160 12.350
Li 0.000 2.319 6.175
Ce -4.017 0.000 9.262
Ce -2.008 1.160 3.087
Ce 2.008 1.160 3.087
Np 0.000 0.000 9.262
S 0.000 -2.286 7.689
S -1.980 1.143 7.689
S 0.000 0.000 4.681
S -1.980 -1.143 10.836
S 1.980 1.143 7.689
S 0.000 0.000 13.844
S 1.980 -1.143 10.836
S 0.000 2.286 10.836
```



4.
Structure and simulated X-ray powder pattern of TlFe2CoI8 (a GGA-PBE-relaxed structure; Cu Kα X-rays).
Neutral-atom scattering factors, no anomalous dispersion.

Largest 6 diffraction maxima, low angle first, 5° ≤ 2θ ≤ 70°:
d = 3.480 Å, 25.6 deg, intensity 323
d = 3.295 Å, 27.1 deg, intensity 536
d = 3.173 Å, 28.1 deg, intensity 331
d = 3.131 Å, 28.5 deg, intensity 1000
d = 2.898 Å, 30.9 deg, intensity 357
d = 2.077 Å, 43.6 deg, intensity 524

Cell and atoms:
```
12
Lattice="5.814 -4.006 0.000 5.814 4.006 0.000 -0.793 0.000 10.041" Properties=species:S:1:pos:R:3 pbc="T T T"
Tl 0.000 0.000 0.000
Fe 3.799 0.000 7.168
Fe 7.036 0.000 2.873
Co -0.397 0.000 5.020
I 5.468 2.070 3.014
I 2.307 0.000 5.083
I 5.368 2.070 7.027
I 2.740 0.000 9.478
I 8.095 0.000 0.563
I 5.468 -2.070 3.014
I 8.529 0.000 4.958
I 5.368 -2.070 7.027
```



5.
Structure and simulated X-ray powder pattern of Ce4P3PtRh12 (a GGA-PBE-relaxed structure; Cu Kα X-rays).
Neutral-atom scattering factors, no anomalous dispersion.

Largest 6 diffraction maxima, low angle first, 5° ≤ 2θ ≤ 70°:
d = 3.226 Å, 27.7 deg, intensity 207
d = 2.634 Å, 34.0 deg, intensity 1000
d = 2.439 Å, 36.9 deg, intensity 101
d = 2.281 Å, 39.5 deg, intensity 927
d = 1.613 Å, 57.1 deg, intensity 606
d = 1.376 Å, 68.2 deg, intensity 359

Cell and atoms:
```
20
Lattice="-4.562 4.562 4.562 4.562 -4.562 4.562 4.562 4.562 -4.562" Properties=species:S:1:pos:R:3 pbc="T T T"
Ce 2.281 2.281 -2.281
Ce 2.281 -2.281 2.281
Ce -2.281 2.281 2.281
Ce 2.281 2.281 2.281
P 4.562 0.000 0.000
P 0.000 4.562 0.000
P 0.000 0.000 4.562
Pt 0.000 0.000 0.000
Rh 2.467 0.000 0.000
Rh 6.657 0.000 0.000
Rh 4.562 2.281 0.000
Rh 4.562 0.000 2.281
Rh 0.000 2.467 0.000
Rh 0.000 0.000 2.467
Rh 2.281 4.562 0.000
Rh 2.281 0.000 4.562
Rh 0.000 6.657 0.000
Rh 0.000 0.000 6.657
Rh 0.000 4.562 2.281
Rh 0.000 2.281 4.562
```



6.
Structure and simulated X-ray powder pattern of CdBi5Pd3 (a GGA-PBE-relaxed structure; Cu Kα X-rays).
Neutral-atom scattering factors, no anomalous dispersion.

Largest 6 diffraction maxima, low angle first, 5° ≤ 2θ ≤ 70°:
d = 3.437 Å, 25.9 deg, intensity 614
d = 2.772 Å, 32.3 deg, intensity 1000
d = 2.603 Å, 34.5 deg, intensity 996
d = 2.465 Å, 36.4 deg, intensity 762
d = 2.455 Å, 36.6 deg, intensity 791
d = 2.084 Å, 43.4 deg, intensity 486

Cell and atoms:
```
18
Lattice="5.278 -4.911 0.000 5.278 4.911 0.000 -4.291 0.000 9.523" Properties=species:S:1:pos:R:3 pbc="T T T"
Cd 1.534 0.000 2.339
Cd 4.730 0.000 7.184
Bi 3.928 2.678 1.171
Bi 3.132 2.823 4.762
Bi 0.340 0.000 5.282
Bi 2.336 2.678 8.352
Bi -0.575 0.000 8.592
Bi 6.840 0.000 0.932
Bi 3.928 -2.678 1.171
Bi 5.924 0.000 4.241
Bi 3.132 -2.823 4.762
Bi 2.336 -2.678 8.352
Pd 0.000 0.000 0.000
Pd -1.266 0.000 2.843
Pd 4.246 0.000 2.001
Pd 3.132 0.000 4.762
Pd 2.019 0.000 7.522
Pd 7.530 0.000 6.680
```



7.
Structure and simulated X-ray powder pattern of La4Nd11Y9 (a GGA-PBE-relaxed structure; Cu Kα X-rays).
Neutral-atom scattering factors, no anomalous dispersion.

Largest 6 diffraction maxima, low angle first, 5° ≤ 2θ ≤ 70°:
d = 3.036 Å, 29.4 deg, intensity 663
d = 2.952 Å, 30.3 deg, intensity 161
d = 2.829 Å, 31.6 deg, intensity 1000
d = 2.684 Å, 33.4 deg, intensity 111
d = 1.880 Å, 48.4 deg, intensity 126
d = 1.599 Å, 57.7 deg, intensity 145

Cell and atoms:
```
24
Lattice="8.594 -12.869 0.000 8.594 12.869 0.000 0.000 0.000 3.761" Properties=species:S:1:pos:R:3 pbc="T T T"
La 2.649 2.588 0.000
La 2.649 -2.588 0.000
La 14.540 2.588 0.000
La 14.540 -2.588 0.000
Nd 4.684 4.660 1.880
Nd 8.594 9.395 1.880
Nd 3.607 0.000 1.880
Nd 8.594 4.061 1.880
Nd 4.684 -4.660 1.880
Nd 8.594 0.000 1.880
Nd 12.505 4.660 1.880
Nd 8.594 -4.061 1.880
Nd 13.582 0.000 1.880
Nd 8.594 -9.395 1.880
Nd 12.505 -4.660 1.880
Y 0.000 0.000 0.000
Y 6.862 6.758 0.000
Y 6.217 1.870 0.000
Y 10.327 6.758 0.000
Y 6.217 -1.870 0.000
Y 10.972 1.870 0.000
Y 6.862 -6.758 0.000
Y 10.972 -1.870 0.000
Y 10.327 -6.758 0.000
```



8.
Structure and simulated X-ray powder pattern of Li2ThPt3 (a GGA-PBE-relaxed structure; Cu Kα X-rays).
Neutral-atom scattering factors, no anomalous dispersion.

Largest 6 diffraction maxima, low angle first, 5° ≤ 2θ ≤ 70°:
d = 3.991 Å, 22.3 deg, intensity 176
d = 2.943 Å, 30.4 deg, intensity 159
d = 2.368 Å, 38.0 deg, intensity 1000
d = 2.148 Å, 42.1 deg, intensity 192
d = 2.019 Å, 44.9 deg, intensity 151
d = 1.996 Å, 45.4 deg, intensity 154

Cell and atoms:
```
12
Lattice="4.296 0.000 0.000 0.000 12.115 0.000 0.000 0.000 3.991" Properties=species:S:1:pos:R:3 pbc="T T T"
Li 1.074 0.796 0.002
Li 1.074 5.262 0.002
Li 3.222 6.853 3.989
Li 3.222 11.319 3.989
Th 1.074 9.086 0.004
Th 3.222 3.029 3.987
Pt 1.074 3.029 1.991
Pt 1.074 6.960 1.998
Pt 1.074 11.212 1.998
Pt 3.222 0.903 1.993
Pt 3.222 5.155 1.993
Pt 3.222 9.086 2.000
```



9.
Structure and simulated X-ray powder pattern of Rb2PPdCl6 (a GGA-PBE-relaxed structure; Cu Kα X-rays).
Neutral-atom scattering factors, no anomalous dispersion.

Largest 6 diffraction maxima, low angle first, 5° ≤ 2θ ≤ 70°:
d = 3.550 Å, 25.1 deg, intensity 1000
d = 2.899 Å, 30.8 deg, intensity 429
d = 2.510 Å, 35.8 deg, intensity 934
d = 2.050 Å, 44.2 deg, intensity 437
d = 1.775 Å, 51.5 deg, intensity 605
d = 1.588 Å, 58.1 deg, intensity 201

Cell and atoms:
```
10
Lattice="-3.551 3.551 5.018 3.551 -3.551 5.018 3.551 3.551 -5.018" Properties=species:S:1:pos:R:3 pbc="T T T"
Rb 3.551 0.000 2.509
Rb 0.000 3.551 2.509
P 0.000 0.000 0.000
Pd 0.000 0.000 5.018
Cl 0.000 0.000 2.433
Cl 1.725 1.725 0.000
Cl 1.826 -1.826 5.018
Cl -1.826 1.826 5.018
Cl 1.826 1.826 5.018
Cl 0.000 0.000 7.603
```



10.
Structure and simulated X-ray powder pattern of La10Ga3Co7 (a GGA-PBE-relaxed structure; Cu Kα X-rays).
Neutral-atom scattering factors, no anomalous dispersion.

Largest 6 diffraction maxima, low angle first, 5° ≤ 2θ ≤ 70°:
d = 2.925 Å, 30.6 deg, intensity 1000
d = 2.845 Å, 31.4 deg, intensity 565
d = 2.786 Å, 32.1 deg, intensity 185
d = 2.516 Å, 35.7 deg, intensity 224
d = 2.366 Å, 38.0 deg, intensity 392
d = 2.013 Å, 45.0 deg, intensity 305

Cell and atoms:
```
40
Lattice="4.026 0.000 0.000 0.000 10.037 0.000 0.000 0.000 24.136" Properties=species:S:1:pos:R:3 pbc="T T T"
La 0.000 0.058 0.000
La 0.000 1.530 15.421
La 0.000 1.794 8.625
La 0.000 3.505 12.192
La 0.000 3.915 4.170
La 0.000 6.122 16.238
La 0.000 6.532 0.124
La 0.000 8.243 20.693
La 0.000 8.507 3.353
La 0.000 9.979 12.068
La 2.013 1.059 5.332
La 2.013 1.484 21.177
La 2.013 3.142 1.161
La 2.013 3.554 18.088
La 2.013 4.817 9.259
La 2.013 5.220 21.327
La 2.013 6.483 6.020
La 2.013 6.895 13.229
La 2.013 8.553 9.109
La 2.013 8.978 17.400
Ga 0.000 1.110 18.764
Ga 0.000 3.282 22.840
Ga 0.000 6.755 10.772
Ga 0.000 8.927 6.696
Ga 2.013 3.970 14.723
Ga 2.013 6.067 2.655
Co 0.000 1.445 2.842
Co 0.000 3.267 20.224
Co 0.000 4.348 7.036
Co 0.000 5.689 19.104
Co 0.000 6.770 8.156
Co 0.000 8.592 14.910
Co 2.013 0.552 2.343
Co 2.013 1.769 13.406
Co 2.013 1.896 10.779
Co 2.013 3.476 6.599
Co 2.013 6.561 18.666
Co 2.013 8.141 22.847
Co 2.013 8.268 1.338
Co 2.013 9.485 14.411
```



11.
Structure and simulated X-ray powder pattern of Sc2RuC2 (a GGA-PBE-relaxed structure; Cu Kα X-rays).
Neutral-atom scattering factors, no anomalous dispersion.

Largest 6 diffraction maxima, low angle first, 5° ≤ 2θ ≤ 70°:
d = 4.227 Å, 21.0 deg, intensity 554
d = 2.599 Å, 34.5 deg, intensity 663
d = 2.590 Å, 34.6 deg, intensity 990
d = 2.502 Å, 35.9 deg, intensity 907
d = 2.390 Å, 37.6 deg, intensity 668
d = 2.375 Å, 37.9 deg, intensity 1000

Cell and atoms:
```
20
Lattice="6.209 0.000 0.000 0.000 4.750 0.000 0.000 0.000 9.269" Properties=species:S:1:pos:R:3 pbc="T T T"
Sc 0.256 1.188 2.022
Sc 1.001 1.188 5.200
Sc 2.104 3.563 0.565
Sc 2.848 3.563 6.657
Sc 3.360 1.188 2.612
Sc 4.105 1.188 8.704
Sc 5.208 3.563 4.070
Sc 5.953 3.563 7.247
Ru 1.230 1.188 8.124
Ru 1.874 3.563 3.490
Ru 4.335 1.188 5.780
Ru 4.979 3.563 1.145
C 0.412 3.563 2.255
C 1.000 3.563 5.266
C 2.104 1.188 0.632
C 2.692 1.188 6.890
C 3.517 3.563 2.379
C 4.104 3.563 8.638
C 5.209 1.188 4.003
C 5.797 1.188 7.014
```